# P3Pb5BrO12
Calculated XRD peak list, Cu Kα, 1.54184 Å. Input: the GGA-PBE geometry in the Materials Project.

Most intense lines, 2θ = 10–90°, by angle:
- 2θ 21.13, intensity 40.6, (1 1 1)
- 2θ 29.26, intensity 74.0, (2 1 1)
- 2θ 29.89, intensity 100.0, (1 1 2)
- 2θ 30.21, intensity 59.0, (3 0 0)
- 2θ 43.01, intensity 38.7, (2 2 2)
- 2θ 47.87, intensity 24.6, (4 0 2)

Structure:
Lattice parameters (Å, degrees): 10.2481 10.2481 7.3614 90.00 90.00 120.00
Fractional coordinates of all 42 atoms:
1 P 0.0342 0.4090 0.2500
2 P 0.3749 0.9658 0.2500
3 P 0.4090 0.3749 0.7500
4 P 0.5910 0.6251 0.2500
5 P 0.6251 0.0342 0.7500
6 P 0.9658 0.5910 0.7500
7 Pb 0.0093 0.7472 0.2500
8 Pb 0.2528 0.2621 0.2500
9 Pb 0.2621 0.0093 0.7500
10 Pb 0.3333 0.6667 0.5030
11 Pb 0.3333 0.6667 0.9970
12 Pb 0.6667 0.3333 0.0030
13 Pb 0.6667 0.3333 0.4970
14 Pb 0.7379 0.9907 0.2500
15 Pb 0.7472 0.7379 0.7500
16 Pb 0.9907 0.2528 0.7500
17 Br 0.0000 0.0000 0.0000
18 Br 0.0000 0.0000 0.5000
19 O 0.0906 0.3619 0.0786
20 O 0.0906 0.3619 0.4214
21 O 0.1193 0.5873 0.2500
22 O 0.1393 0.6577 0.7500
23 O 0.2713 0.9094 0.0786
24 O 0.2713 0.9094 0.4214
25 O 0.3423 0.4817 0.7500
26 O 0.3619 0.2713 0.5786
27 O 0.3619 0.2713 0.9214
28 O 0.4127 0.5320 0.2500
29 O 0.4680 0.8807 0.2500
30 O 0.4817 0.1393 0.2500
31 O 0.5183 0.8607 0.7500
32 O 0.5320 0.1193 0.7500
33 O 0.5873 0.4680 0.7500
34 O 0.6381 0.7287 0.0786
35 O 0.6381 0.7287 0.4214
36 O 0.6577 0.5183 0.2500
37 O 0.7287 0.0906 0.5786
38 O 0.7287 0.0906 0.9214
39 O 0.8607 0.3423 0.2500
40 O 0.8807 0.4127 0.7500
41 O 0.9094 0.6381 0.5786
42 O 0.9094 0.6381 0.9214